1.
This entry pairs a crystal structure of ErNi4As2 with its computed X-ray powder pattern. Radiation: Cu Kα, 1.54184 Å. Structure: a cell relaxed with PBE.
Intensities are scaled so that the largest is 100.

Main lines, low angle first (10° ≤ 2θ ≤ 90°):
2θ 26.66, I = 16
2θ 35.21, I = 26
2θ 36.66, I = 100
2θ 39.53, I = 40
2θ 42.81, I = 28
2θ 46.54, I = 44
2θ 48.21, I = 27
2θ 52.33, I = 14
2θ 58.15, I = 12
2θ 64.05, I = 19
2θ 69.83, I = 21
2θ 75.31, I = 14

Crystal structure
a = 7.2088 Å, b = 7.2088 Å, c = 3.7749 Å
α = 90.00°, β = 90.00°, γ = 90.00°
Space group P4_2/mnm (No. 136)
Asymmetric unit:
Er  0.0000  0.0000  0.0000
Ni  0.0904  0.3470  0.5000
As  0.2169  0.7831  0.5000

2.
This entry pairs a crystal structure of KNaSnF6 with its computed X-ray powder pattern. Radiation: Cu Kα, 1.54184 Å. Structure: a cell relaxed with PBE.
Intensities are scaled so that the largest is 100.

Main lines, low angle first (10° ≤ 2θ ≤ 90°):
2θ 16.30, I = 55
2θ 18.23, I = 100
2θ 19.52, I = 88
2θ 21.46, I = 47
2θ 26.60, I = 74
2θ 27.06, I = 76
2θ 29.29, I = 20
2θ 35.75, I = 22
2θ 43.72, I = 28
2θ 47.82, I = 28
2θ 51.91, I = 26
2θ 52.40, I = 22

Crystal structure
a = 12.0306 Å, b = 6.0986 Å, c = 8.2817 Å
α = 90.00°, β = 90.00°, γ = 90.00°
Space group Pna2_1 (No. 33)
Asymmetric unit:
K  0.0422  0.0376  0.0000
Na  0.1488  0.5529  0.2456
Sn  0.1370  0.5486  0.7441
F  0.0086  0.2906  0.2808
F  0.0434  0.2791  0.7025
F  0.1275  0.6465  0.5142
F  0.1411  0.4516  0.9754
F  0.2096  0.8306  0.8077
F  0.2181  0.8991  0.1998

3.
This entry pairs a crystal structure of SrAl3P2H7O14 with its computed X-ray powder pattern. Radiation: Cu Kα, 1.54184 Å. Structure: a cell relaxed with PBE.
Intensities are scaled so that the largest is 100.

Main lines, low angle first (10° ≤ 2θ ≤ 90°):
2θ 15.25, I = 51
2θ 24.81, I = 44
2θ 29.82, I = 100
2θ 39.94, I = 21
2θ 41.34, I = 39
2θ 46.93, I = 38
2θ 50.90, I = 29
2θ 60.72, I = 13
2θ 61.95, I = 11
2θ 64.45, I = 18
2θ 71.72, I = 14
2θ 78.64, I = 12

Crystal structure
a = 7.1763 Å, b = 7.1763 Å, c = 16.3315 Å
α = 90.00°, β = 90.00°, γ = 120.00°
Space group R3m (No. 160, hexagonal axes)
Asymmetric unit:
Sr  0.0000  0.0000  0.0000
Al  0.0041  0.5020  0.4997
P  0.0000  0.0000  0.3051
P  0.0000  0.0000  0.6898
H  0.0000  0.0000  0.4623
H  0.0609  0.5305  0.2253
H  0.1879  0.3757  0.1047
O  0.0000  0.0000  0.4026
O  0.0000  0.0000  0.5952
O  0.0896  0.5448  0.8036
O  0.0976  0.5488  0.3895
O  0.2083  0.4165  0.5318
O  0.2152  0.4304  0.9453

4.
This entry pairs a crystal structure of Zr2N2O with its computed X-ray powder pattern. Radiation: Cu Kα, 1.54184 Å. Structure: a cell relaxed with PBE.
Intensities are scaled so that the largest is 100.

Main lines, low angle first (10° ≤ 2θ ≤ 90°):
2θ 21.24, I = 18
2θ 30.19, I = 100
2θ 30.28, I = 34
2θ 35.03, I = 38
2θ 37.20, I = 7
2θ 41.29, I = 6
2θ 45.06, I = 8
2θ 45.17, I = 5
2θ 50.33, I = 33
2θ 50.46, I = 17
2θ 59.80, I = 17
2θ 59.92, I = 15

Crystal structure
a = 8.8552 Å, b = 8.8779 Å, c = 8.8782 Å
α = 109.59°, β = 109.27°, γ = 109.42°
Space group P1 (No. 1)
Asymmetric unit:
Zr  0.0000  0.0000  0.0000
Zr  0.0058  0.4950  0.5121
Zr  0.0317  0.2080  0.7546
Zr  0.2189  0.6702  0.9679
Zr  0.2409  0.4636  0.2102
Zr  0.2611  0.9621  0.7291
Zr  0.2846  0.2453  0.4673
Zr  0.4540  0.6991  0.6760
Zr  0.4997  0.9302  0.4289
Zr  0.5027  0.4320  0.9370
Zr  0.5382  0.2076  0.2484
Zr  0.7090  0.1701  0.9568
Zr  0.7401  0.4510  0.6977
Zr  0.7491  0.9508  0.2264
Zr  0.7892  0.7456  0.4698
Zr  0.9699  0.7188  0.1835
N  0.0129  0.9447  0.7517
N  0.0254  0.9920  0.2596
N  0.2055  0.4461  0.4412
N  0.2149  0.6963  0.2287
N  0.2598  0.7319  0.7582
N  0.2960  0.4693  0.9885
N  0.4777  0.1998  0.9884
N  0.4800  0.9266  0.1676
N  0.4938  0.9714  0.6857
N  0.5093  0.1879  0.4879
N  0.5268  0.5090  0.7349
N  0.7096  0.6861  0.1845
N  0.7390  0.4923  0.4755
N  0.7829  0.0033  0.4875
N  0.9771  0.4144  0.7042
N  0.9787  0.2318  0.9809
O  0.0236  0.7231  0.4428
O  0.2362  0.1835  0.6669
O  0.2843  0.2179  0.2027
O  0.5238  0.6840  0.4535
O  0.7206  0.9179  0.9450
O  0.7668  0.4250  0.9563
O  0.7958  0.2303  0.2473
O  0.9857  0.7294  0.9447

5.
This entry pairs a crystal structure of Te4MoW3Se2S2 with its computed X-ray powder pattern. Radiation: Cu Kα, 1.54184 Å. Structure: a cell relaxed with PBE.
Intensities are scaled so that the largest is 100.

Main lines, low angle first (10° ≤ 2θ ≤ 90°):
2θ 11.40, I = 100
2θ 13.69, I = 17
2θ 30.42, I = 44
2θ 32.56, I = 15
2θ 35.71, I = 87
2θ 37.02, I = 17
2θ 43.18, I = 49
2θ 44.94, I = 16
2θ 54.03, I = 31
2θ 55.40, I = 11
2θ 66.45, I = 14
2θ 76.14, I = 15

Crystal structure
a = 3.3952 Å, b = 3.3952 Å, c = 38.8154 Å
α = 90.00°, β = 90.00°, γ = 120.00°
Space group P3m1 (No. 156)
Asymmetric unit:
Te  0.0000  0.0000  0.0000
Te  0.0000  0.0000  0.0965
Te  0.6667  0.3333  0.1879
Te  0.6667  0.3333  0.2849
Mo  0.6667  0.3333  0.0482
W  0.0000  0.0000  0.2364
W  0.0000  0.0000  0.8605
W  0.6667  0.3333  0.6726
Se  0.6667  0.3333  0.8178
Se  0.6667  0.3333  0.9031
S  0.0000  0.0000  0.6338
S  0.0000  0.0000  0.7115